(1)
Diffraction record for AlTeCSe2. The X-ray diffraction stick pattern is calculated, not measured: it uses a structure optimized by DFT (PBE) and a wavelength of 1.5418 Å.
Lines closer than 0.1° are merged.

Atomic structure:
```
5
Lattice="4.758 0.000 0.000 0.000 4.758 0.000 0.000 0.000 5.519" Properties=species:S:1:pos:R:3 pbc="T T T"
Al 0.000 0.000 0.000
Te 0.000 0.000 2.759
C 2.379 2.379 2.759
Se 0.000 2.379 0.000
Se 2.379 0.000 0.000
```

Most intense lines, 15 to 90 degrees two-theta, sorted by position:
d_spacing	I/Imax
4.758	49
3.604	18
2.873	100
2.759	32
2.379	42
1.802	36
1.684	26
1.614	17
1.452	24
1.436	17

(2)
Diffraction record for AlSnC. The X-ray diffraction stick pattern is calculated, not measured: it uses a structure optimized by DFT (PBE) and a wavelength of 1.5418 Å.
Lines closer than 0.1° are merged.

Atomic structure:
```
12
Lattice="6.979 0.000 0.000 0.000 5.471 0.000 0.000 0.000 5.471" Properties=species:S:1:pos:R:3 pbc="T T T"
Al 0.000 0.000 0.000
Al 0.000 0.000 2.736
Al 0.000 2.736 0.000
Al 0.000 2.736 2.736
Sn 2.998 1.368 1.376
Sn 2.998 4.103 4.111
Sn 3.981 1.368 4.111
Sn 3.981 4.103 1.376
C 0.785 1.368 1.368
C 0.785 4.103 4.104
C 6.194 1.368 4.104
C 6.194 4.103 1.368
```

Most intense lines, 15 to 90 degrees two-theta, sorted by position:
d_spacing	I/Imax
3.490	39
3.384	45
2.736	41
2.591	44
2.547	100
1.994	47
1.934	34
1.550	20
1.388	30
1.205	21

(3)
Diffraction record for Tb6Al2C. The X-ray diffraction stick pattern is calculated, not measured: it uses a structure optimized by DFT (PBE) and a wavelength of 1.5418 Å.
Lines closer than 0.1° are merged.

Atomic structure:
```
9
Lattice="0.000 4.869 4.869 4.869 0.000 4.869 4.869 4.869 0.000" Properties=species:S:1:pos:R:3 pbc="T T T"
Tb 4.869 4.869 2.400
Tb 4.869 2.400 4.869
Tb 7.338 4.869 4.869
Tb 2.400 4.869 4.869
Tb 4.869 7.338 4.869
Tb 4.869 4.869 7.338
Al 2.435 2.435 2.435
Al 7.304 7.304 7.304
C 0.000 0.000 0.000
```

Most intense lines, 15 to 90 degrees two-theta, sorted by position:
d_spacing	I/Imax
4.869	22
3.443	16
2.811	100
2.435	53
2.178	11
1.988	7
1.722	37
1.468	42
1.406	12
1.117	18

(4)
Diffraction record for Tb8AlC4. The X-ray diffraction stick pattern is calculated, not measured: it uses a structure optimized by DFT (PBE) and a wavelength of 1.5418 Å.
Lines closer than 0.1° are merged.

Atomic structure:
```
13
Lattice="8.771 -1.817 0.000 8.771 1.817 0.000 -7.931 0.000 8.966" Properties=species:S:1:pos:R:3 pbc="T T T"
Tb -1.163 0.000 2.144
Tb 1.799 0.000 3.900
Tb 4.626 0.000 1.471
Tb -0.768 0.000 8.150
Tb 10.379 0.000 0.817
Tb 4.985 0.000 7.496
Tb 7.812 0.000 5.067
Tb 10.775 0.000 6.823
Al -3.965 0.000 4.483
C -5.036 0.000 8.660
C 0.527 0.000 6.002
C 9.085 0.000 2.964
C 14.648 0.000 0.306
```

Most intense lines, 15 to 90 degrees two-theta, sorted by position:
d_spacing	I/Imax
3.083	23
3.032	28
2.911	87
2.797	100
2.750	43
2.687	93
2.581	38
1.817	22
1.753	39
1.542	26

(5)
Diffraction record for Th6AlC5. The X-ray diffraction stick pattern is calculated, not measured: it uses a structure optimized by DFT (PBE) and a wavelength of 1.5418 Å.
Lines closer than 0.1° are merged.

Atomic structure:
```
24
Lattice="6.611 0.000 0.000 -3.305 5.725 0.000 0.000 0.000 12.995" Properties=species:S:1:pos:R:3 pbc="T T T"
Th -1.243 2.152 1.555
Th -1.243 2.152 4.942
Th -2.063 3.573 8.053
Th -2.063 3.573 11.440
Th 2.485 0.000 1.555
Th 2.485 0.000 4.942
Th 1.243 2.152 8.053
Th 1.243 2.152 11.440
Th 4.126 0.000 8.053
Th 4.126 0.000 11.440
Th 2.063 3.573 1.555
Th 2.063 3.573 4.942
Al 0.000 0.000 3.249
Al 0.000 0.000 9.746
C -1.009 1.747 9.746
C -2.296 3.978 3.249
C 2.018 0.000 9.746
C 1.009 1.747 3.249
C 0.000 3.817 0.000
C 0.000 3.817 6.497
C 3.305 1.908 0.000
C 3.305 1.908 6.497
C 4.593 0.000 3.249
C 2.296 3.978 9.746
```

Most intense lines, 15 to 90 degrees two-theta, sorted by position:
d_spacing	I/Imax
3.305	39
3.249	54
3.203	100
2.863	16
2.628	89
2.317	37
2.043	25
1.908	31
1.645	30
1.619	23

(6)
Diffraction record for Ti3AlC. The X-ray diffraction stick pattern is calculated, not measured: it uses a structure optimized by DFT (PBE) and a wavelength of 1.5418 Å.
Lines closer than 0.1° are merged.

Atomic structure:
```
5
Lattice="4.181 0.000 0.000 0.000 4.181 0.000 0.000 0.000 4.181" Properties=species:S:1:pos:R:3 pbc="T T T"
Ti 0.000 0.000 2.090
Ti 0.000 2.090 0.000
Ti 2.090 0.000 0.000
Al 2.090 2.090 2.090
C 0.000 0.000 0.000
```

Most intense lines, 15 to 90 degrees two-theta, sorted by position:
d_spacing	I/Imax
4.181	14
2.956	1
2.414	100
2.090	60
1.870	4
1.478	35
1.394	2
1.261	33
1.207	11
1.160	1

(7)
Diffraction record for TiAlC3. The X-ray diffraction stick pattern is calculated, not measured: it uses a structure optimized by DFT (PBE) and a wavelength of 1.5418 Å.
Lines closer than 0.1° are merged.

Atomic structure:
```
5
Lattice="3.823 0.000 0.000 0.000 3.823 0.000 0.000 0.000 3.823" Properties=species:S:1:pos:R:3 pbc="T T T"
Ti 0.000 0.000 0.000
Al 1.912 1.912 1.912
C 0.000 1.912 1.912
C 1.912 0.000 1.912
C 1.912 1.912 0.000
```

Most intense lines, 15 to 90 degrees two-theta, sorted by position:
d_spacing	I/Imax
3.823	2
2.704	100
2.207	22
1.912	44
1.710	1
1.561	36
1.352	24
1.209	15
1.153	5
1.104	8

(8)
Diffraction record for UAl3C3. The X-ray diffraction stick pattern is calculated, not measured: it uses a structure optimized by DFT (PBE) and a wavelength of 1.5418 Å.
Lines closer than 0.1° are merged.

Atomic structure:
```
14
Lattice="3.389 0.000 0.000 -1.694 2.935 0.000 0.000 0.000 17.441" Properties=species:S:1:pos:R:3 pbc="T T T"
U 0.000 0.000 0.000
U 0.000 0.000 8.720
Al 0.000 1.957 2.333
Al 0.000 1.957 6.388
Al 0.000 1.957 13.081
Al 1.694 0.978 4.360
Al 1.694 0.978 11.053
Al 1.694 0.978 15.108
C 0.000 1.957 4.360
C 0.000 1.957 10.365
C 0.000 1.957 15.797
C 1.694 0.978 1.644
C 1.694 0.978 7.076
C 1.694 0.978 13.081
```

Most intense lines, 15 to 90 degrees two-theta, sorted by position:
d_spacing	I/Imax
4.360	32
2.935	27
2.782	100
2.435	68
2.065	44
1.750	15
1.694	22
1.499	17
1.447	14
1.338	18

(9)
Diffraction record for UAlC2. The X-ray diffraction stick pattern is calculated, not measured: it uses a structure optimized by DFT (PBE) and a wavelength of 1.5418 Å.
Lines closer than 0.1° are merged.

Atomic structure:
```
12
Lattice="3.682 0.000 0.000 -1.841 3.189 0.000 0.000 0.000 16.884" Properties=species:S:1:pos:R:3 pbc="T T T"
U 0.000 0.000 0.000
U 0.000 2.126 11.256
U 1.841 1.063 5.628
Al 0.000 0.000 8.442
Al 0.000 2.126 2.814
Al 1.841 1.063 14.070
C 0.000 0.000 6.538
C 0.000 0.000 10.346
C 0.000 2.126 0.910
C 0.000 2.126 4.718
C 1.841 1.063 12.166
C 1.841 1.063 15.974
```

Most intense lines, 15 to 90 degrees two-theta, sorted by position:
d_spacing	I/Imax
5.628	100
3.133	55
2.983	99
2.814	25
2.544	53
2.318	36
1.841	28
1.750	29
1.541	26
1.492	25

(10)
Diffraction record for Al2V4C. The X-ray diffraction stick pattern is calculated, not measured: it uses a structure optimized by DFT (PBE) and a wavelength of 1.5418 Å.
Lines closer than 0.1° are merged.

Atomic structure:
```
14
Lattice="3.886 0.000 0.000 0.000 3.886 0.000 0.000 0.000 13.251" Properties=species:S:1:pos:R:3 pbc="T T T"
Al 0.000 0.000 1.939
Al 0.000 0.000 11.312
Al 1.943 1.943 4.686
Al 1.943 1.943 8.565
V 0.000 0.000 4.603
V 0.000 0.000 8.648
V 0.000 1.943 0.000
V 0.000 1.943 6.626
V 1.943 0.000 0.000
V 1.943 0.000 6.626
V 1.943 1.943 2.023
V 1.943 1.943 11.229
C 0.000 0.000 6.626
C 1.943 1.943 0.000
```

Most intense lines, 15 to 90 degrees two-theta, sorted by position:
d_spacing	I/Imax
3.729	15
2.538	74
2.209	35
2.115	100
1.943	58
1.459	33
1.374	17
1.194	17
1.167	15
1.152	24

(11)
Diffraction record for Al3W3C4. The X-ray diffraction stick pattern is calculated, not measured: it uses a structure optimized by DFT (PBE) and a wavelength of 1.5418 Å.
Lines closer than 0.1° are merged.

Atomic structure:
```
10
Lattice="2.853 0.000 0.000 0.000 2.933 0.000 0.000 0.000 14.303" Properties=species:S:1:pos:R:3 pbc="T T T"
Al 0.000 0.000 0.000
Al 0.000 0.000 4.762
Al 0.000 1.466 2.576
W 0.000 0.000 9.575
W 0.000 1.466 7.046
W 0.000 1.466 12.078
C 1.426 0.000 3.158
C 1.426 0.000 11.240
C 1.426 1.466 8.676
C 1.426 1.466 13.780
```

Most intense lines, 15 to 90 degrees two-theta, sorted by position:
d_spacing	I/Imax
2.855	96
2.798	31
2.713	45
2.498	100
2.384	43
2.020	26
1.966	32
1.879	100
1.829	42
1.239	23

(12)
Diffraction record for AlWC2. The X-ray diffraction stick pattern is calculated, not measured: it uses a structure optimized by DFT (PBE) and a wavelength of 1.5418 Å.
Lines closer than 0.1° are merged.

Atomic structure:
```
4
Lattice="2.792 0.000 0.000 0.000 2.995 0.000 0.000 0.000 5.068" Properties=species:S:1:pos:R:3 pbc="T T T"
Al 0.000 0.000 0.000
W 0.000 1.497 2.656
C 1.396 0.000 1.907
C 1.396 1.497 4.283
```

Most intense lines, 15 to 90 degrees two-theta, sorted by position:
d_spacing	I/Imax
5.068	100
2.995	27
2.792	33
2.578	60
2.534	29
2.446	31
2.042	19
1.894	60
1.877	28
1.590	18

(13)
Diffraction record for Y5Al3C4. The X-ray diffraction stick pattern is calculated, not measured: it uses a structure optimized by DFT (PBE) and a wavelength of 1.5418 Å.
Lines closer than 0.1° are merged.

Atomic structure:
```
24
Lattice="10.935 0.000 0.000 0.000 10.935 0.000 0.000 0.000 3.521" Properties=species:S:1:pos:R:3 pbc="T T T"
Y 0.000 5.467 0.000
Y 0.550 2.513 1.760
Y 2.513 10.385 1.760
Y 2.955 4.918 1.760
Y 4.918 7.980 1.760
Y 5.467 0.000 0.000
Y 6.017 2.955 1.760
Y 7.980 6.017 1.760
Y 8.422 0.550 1.760
Y 10.385 8.422 1.760
Al 0.000 0.000 0.000
Al 2.230 7.698 0.000
Al 3.237 2.230 0.000
Al 5.467 5.467 0.000
Al 7.698 8.704 0.000
Al 8.704 3.237 0.000
C 1.451 6.918 1.760
C 1.775 3.693 0.000
C 3.693 9.160 0.000
C 4.017 1.451 1.760
C 6.918 9.484 1.760
C 7.242 1.775 0.000
C 9.160 7.242 0.000
C 9.484 4.017 1.760
```

Most intense lines, 15 to 90 degrees two-theta, sorted by position:
d_spacing	I/Imax
3.033	13
2.734	30
2.652	30
2.603	100
2.445	14
2.298	20
2.118	16
1.831	13
1.760	14
1.480	23